For Rb2SiI6Br, a cell relaxed with GGA-PBE gives the theoretical powder XRD pattern in this record (Cu Ka).
No peak broadening, texture or thermal motion is included.

Principal peaks in the range 10° ≤ 2θ ≤ 90°, sorted by position:
2θ/deg	d/Å	intensity	hkl
14.6	6.069	13	1 1 0
25.8	3.453	100	2 0 2
29.4	3.034	56	2 2 0
30.7	2.908	27	0 0 4
42.1	2.146	19	4 0 0
43.1	2.100	38	2 2 4
50.1	1.822	24	4 2 2
51.7	1.767	13	2 0 6
53.0	1.727	18	4 0 4
77.6	1.230	9	6 2 4

Unit cell a=8.582 b=8.582 c=11.632 alpha=90.00 beta=90.00 gamma=90.00
Space group I4/mmm (No. 139)
Inequivalent atoms, fractional coordinates:
Rb  0.000  0.500  0.250 (multiplicity 4)
Si  0.000  0.000  0.000 (multiplicity 2)
I  0.000  0.000  0.235 (multiplicity 4)
I  0.223  0.223  0.000 (multiplicity 8)
Br  0.000  0.000  0.500 (multiplicity 2)



For Rb2TeI6Br, a cell relaxed with GGA-PBE gives the theoretical powder XRD pattern in this record (Cu Ka).
No peak broadening, texture or thermal motion is included.

Principal peaks in the range 10° ≤ 2θ ≤ 90°, sorted by position:
2θ/deg	d/Å	intensity	hkl
13.6	6.530	18	0 0 2
14.6	6.073	28	1 1 0
24.8	3.588	100	2 0 2
27.3	3.265	47	0 0 4
29.4	3.036	82	2 2 0
40.6	2.224	63	2 2 4
42.1	2.147	30	4 0 0
49.5	1.842	30	4 2 2
50.9	1.794	32	4 0 4
75.9	1.254	20	6 2 4

Unit cell a=8.588 b=8.588 c=13.060 alpha=90.00 beta=90.00 gamma=90.00
Space group I4/mmm (No. 139)
Inequivalent atoms, fractional coordinates:
Rb  0.000  0.500  0.250 (multiplicity 4)
Te  0.000  0.000  0.000 (multiplicity 2)
I  0.000  0.000  0.228 (multiplicity 4)
I  0.247  0.247  0.000 (multiplicity 8)
Br  0.000  0.000  0.500 (multiplicity 2)



For Rb2TeI2Br4, a cell relaxed with GGA-PBE gives the theoretical powder XRD pattern in this record (Cu Ka).
No peak broadening, texture or thermal motion is included.

Principal peaks in the range 10° ≤ 2θ ≤ 90°, sorted by position:
2θ/deg	d/Å	intensity	hkl
13.5	6.568	22	1 0 1
15.6	5.680	20	1 1 0
27.2	3.284	100	2 0 2
31.4	2.853	33	0 0 4
31.5	2.840	66	2 2 0
45.0	2.013	47	2 2 4
45.2	2.008	23	4 0 0
53.5	1.713	28	4 2 2
56.0	1.642	24	4 0 4
74.7	1.271	20	6 2 0

Unit cell a=8.032 b=8.032 c=11.412 alpha=90.00 beta=90.00 gamma=90.00
Space group I4/mmm (No. 139)
Inequivalent atoms, fractional coordinates:
Rb  0.000  0.500  0.250 (multiplicity 4)
Te  0.000  0.000  0.000 (multiplicity 2)
I  0.000  0.000  0.259 (multiplicity 4)
Br  0.241  0.241  0.000 (multiplicity 8)



For Rb2ThI5Br, a cell relaxed with GGA-PBE gives the theoretical powder XRD pattern in this record (Cu Ka).
No peak broadening, texture or thermal motion is included.

Principal peaks in the range 10° ≤ 2θ ≤ 90°, sorted by position:
2θ/deg	d/Å	intensity	hkl
12.7	6.975	52	1 0 1
14.4	6.130	28	1 1 0
24.2	3.682	26	2 1 1
25.5	3.488	100	2 0 2
29.1	3.065	99	2 2 0
30.4	2.937	44	0 0 4
41.7	2.167	37	4 0 0
42.6	2.121	69	2 2 4
49.5	1.841	31	4 2 2
52.5	1.744	37	4 0 4

Unit cell a=8.669 b=8.669 c=11.748 alpha=90.00 beta=90.00 gamma=90.00
Space group I4mm (No. 107)
Inequivalent atoms, fractional coordinates:
Rb  0.000  0.500  0.000 (multiplicity 4)
Th  0.000  0.000  0.246 (multiplicity 2)
I  0.000  0.000  0.986 (multiplicity 2)
I  0.249  0.249  0.741 (multiplicity 8)
Br  0.000  0.000  0.486 (multiplicity 2)



For Rb2TiIBr6, a cell relaxed with GGA-PBE gives the theoretical powder XRD pattern in this record (Cu Ka).
No peak broadening, texture or thermal motion is included.

Principal peaks in the range 10° ≤ 2θ ≤ 90°, sorted by position:
2θ/deg	d/Å	intensity	hkl
15.2	5.845	29	1 1 0
20.9	4.243	42	1 1 2
26.0	3.433	96	2 0 2
28.9	3.084	52	0 0 4
30.6	2.922	100	2 2 0
32.6	2.749	38	2 1 3
39.4	2.289	25	3 0 3
42.6	2.121	61	2 2 4
43.8	2.066	31	4 0 0
53.4	1.717	26	4 0 4

Unit cell a=8.266 b=8.266 c=12.337 alpha=90.00 beta=90.00 gamma=90.00
Space group I4/mmm (No. 139)
Inequivalent atoms, fractional coordinates:
Rb  0.000  0.500  0.250 (multiplicity 4)
Ti  0.000  0.000  0.000 (multiplicity 2)
I  0.000  0.000  0.500 (multiplicity 2)
Br  0.000  0.000  0.205 (multiplicity 4)
Br  0.217  0.217  0.000 (multiplicity 8)



For Rb2UIBr5, a cell relaxed with GGA-PBE gives the theoretical powder XRD pattern in this record (Cu Ka).
No peak broadening, texture or thermal motion is included.

Principal peaks in the range 10° ≤ 2θ ≤ 90°, sorted by position:
2θ/deg	d/Å	intensity	hkl
13.4	6.589	97	1 0 1
15.8	5.621	42	1 1 0
26.2	3.403	37	2 1 1
27.1	3.295	80	2 0 2
30.3	2.945	52	0 0 4
31.8	2.810	100	2 2 0
44.6	2.033	71	2 2 4
45.7	1.987	36	4 0 0
55.8	1.647	39	4 0 4
83.7	1.156	26	6 2 4

Unit cell a=7.949 b=7.949 c=11.781 alpha=90.00 beta=90.00 gamma=90.00
Space group I4mm (No. 107)
Inequivalent atoms, fractional coordinates:
Rb  0.000  0.500  0.000 (multiplicity 4)
U  0.000  0.000  0.226 (multiplicity 2)
I  0.000  0.000  0.968 (multiplicity 2)
Br  0.000  0.000  0.464 (multiplicity 2)
Br  0.246  0.246  0.220 (multiplicity 8)